This entry pairs a crystal structure of KCd2In5 with its computed XRD peak list. Radiation: a wavelength of 1.5418 Å. Structure: a structure optimized by DFT (GGA-PBE).
Intensities are scaled so that the largest is 100.

Structural model:
a b c (Å): 3.3876 9.7172 13.4984
angles (deg): 90.00 90.00 90.00
Atoms (fractional coordinates):
K: 0.0000 0.0000 0.0000
K: 0.5000 0.5000 0.5000
Cd: 0.0000 0.5000 0.2532
Cd: 0.0000 0.5000 0.7468
Cd: 0.5000 0.0000 0.2468
Cd: 0.5000 0.0000 0.7532
In: 0.0000 0.2241 0.3640
In: 0.0000 0.2241 0.6360
In: 0.0000 0.5000 0.0000
In: 0.0000 0.7759 0.3640
In: 0.0000 0.7759 0.6360
In: 0.5000 0.0000 0.5000
In: 0.5000 0.2759 0.1360
In: 0.5000 0.2759 0.8640
In: 0.5000 0.7241 0.1360
In: 0.5000 0.7241 0.8640

Principal peaks in the range 2θ = 10–90°, low angle first:
11.2 deg, I 25; 32.3 deg, I 100; 32.9 deg, I 57; 33.1 deg, I 45; 37.0 deg, I 30; 38.5 deg, I 26; 38.8 deg, I 26; 50.5 deg, I 19; 58.2 deg, I 20; 64.5 deg, I 25

This entry pairs a crystal structure of KCd4In12 with its computed XRD peak list. Radiation: a wavelength of 1.5418 Å. Structure: a structure optimized by DFT (GGA-PBE).
Intensities are scaled so that the largest is 100.

Structural model:
a b c (Å): 8.7634 8.7634 8.7634
angles (deg): 109.47 109.47 109.47
Atoms (fractional coordinates):
K: 0.0000 0.0000 0.0000
Cd: 0.0000 0.0000 0.5000
Cd: 0.0000 0.5000 0.0000
Cd: 0.5000 0.0000 0.0000
Cd: 0.5000 0.5000 0.5000
In: 0.1520 0.5056 0.3536
In: 0.1520 0.7984 0.6464
In: 0.2016 0.3536 0.8480
In: 0.3536 0.1520 0.5056
In: 0.3536 0.8480 0.2016
In: 0.4944 0.6464 0.8480
In: 0.5056 0.3536 0.1520
In: 0.6464 0.1520 0.7984
In: 0.6464 0.8480 0.4944
In: 0.7984 0.6464 0.1520
In: 0.8480 0.2016 0.3536
In: 0.8480 0.4944 0.6464

Principal peaks in the range 2θ = 10–90°, low angle first:
27.9 deg, I 100; 33.1 deg, I 27; 39.8 deg, I 42; 43.8 deg, I 28; 45.7 deg, I 39; 62.2 deg, I 13; 63.7 deg, I 10; 70.9 deg, I 11; 80.5 deg, I 10; 81.9 deg, I 14

This entry pairs a crystal structure of K2CdIn2 with its computed XRD peak list. Radiation: a wavelength of 1.5418 Å. Structure: a structure optimized by DFT (GGA-PBE).
Intensities are scaled so that the largest is 100.

Structural model:
a b c (Å): 5.0351 6.2603 11.6295
angles (deg): 90.00 90.00 90.00
Atoms (fractional coordinates):
K: 0.0000 0.0000 0.1980
K: 0.0000 0.0000 0.8020
K: 0.5000 0.5000 0.3020
K: 0.5000 0.5000 0.6980
Cd: 0.0000 0.5000 0.0000
Cd: 0.5000 0.0000 0.5000
In: 0.0000 0.2553 0.5000
In: 0.0000 0.7447 0.5000
In: 0.5000 0.2447 0.0000
In: 0.5000 0.7553 0.0000

Principal peaks in the range 2θ = 10–90°, low angle first:
15.2 deg, I 100; 27.1 deg, I 20; 27.4 deg, I 45; 29.1 deg, I 19; 30.8 deg, I 32; 34.6 deg, I 96; 35.7 deg, I 29; 39.0 deg, I 20; 41.2 deg, I 33; 52.3 deg, I 37

This entry pairs a crystal structure of K12Cd6In with its computed XRD peak list. Radiation: a wavelength of 1.5418 Å. Structure: a structure optimized by DFT (GGA-PBE).
Intensities are scaled so that the largest is 100.

Structural model:
a b c (Å): 9.8434 9.8434 9.8434
angles (deg): 76.37 76.37 76.37
Atoms (fractional coordinates):
K: 0.1229 0.1229 0.5346
K: 0.1229 0.5346 0.1229
K: 0.1900 0.5424 0.5424
K: 0.4576 0.4576 0.8100
K: 0.4576 0.8100 0.4576
K: 0.4654 0.8771 0.8771
K: 0.5346 0.1229 0.1229
K: 0.5424 0.1900 0.5424
K: 0.5424 0.5424 0.1900
K: 0.8100 0.4576 0.4576
K: 0.8771 0.4654 0.8771
K: 0.8771 0.8771 0.4654
Cd: 0.1208 0.7910 0.7910
Cd: 0.2090 0.2090 0.8792
Cd: 0.2090 0.8792 0.2090
Cd: 0.7910 0.1208 0.7910
Cd: 0.7910 0.7910 0.1208
Cd: 0.8792 0.2090 0.2090
In: 0.0000 0.0000 0.0000

Principal peaks in the range 2θ = 10–90°, low angle first:
12.0 deg, I 29; 23.9 deg, I 10; 25.4 deg, I 15; 25.8 deg, I 20; 28.5 deg, I 100; 36.5 deg, I 27; 44.7 deg, I 22; 47.3 deg, I 14; 52.3 deg, I 11; 53.9 deg, I 13